Diffraction record for LiMn2SiO6. The powder diffraction line list is computed, not measured: it uses a GGA+U-relaxed structure and CuKα.

Peak list (10 most intense, 2θ = 5–70°, sorted by position)
two_theta  d [Å]  Rel. int.  index
19.36  4.585  46  0 0 1
23.95  3.715  100  0 1 0
25.01  3.560  96  1 1 1
25.13  3.544  93  1 0 -1
32.91  2.722  73  1 0 1
33.42  2.681  64  1 1 -1
34.40  2.607  57  0 1 2
36.50  2.462  47  -1 1 1
53.72  1.706  42  1 2 -1
54.72  1.678  40  2 1 2

Atomic structure:
```
10
Lattice="4.852 0.000 0.000 2.383 4.268 0.000 0.036 2.592 4.585" Properties=species:S:1:pos:R:3 pbc="T T T"
Li 0.000 0.000 0.000
Mn 2.412 4.036 2.896
Mn 4.816 2.714 0.764
Si 4.816 5.486 2.655
O 0.941 1.075 1.746
O 1.805 2.474 3.774
O 3.133 2.595 1.756
O 4.088 4.252 3.831
O 5.693 4.210 1.742
O 6.236 5.370 3.841
```